(1)
Structure and calculated powder XRD pattern of PmSI (a structure optimized by DFT (PBE); Cu Kα).
Lines closer than 0.1° are merged.

Structure:
```
PmSI
1.0
0.0000 6.8549 4.4734
6.0679 0.0000 4.4734
6.0679 6.8549 0.0000
Pm S I
4 4 4
Cartesian
6.9666 3.2049 4.4734 Pm
8.2032 6.6323 6.7101 Pm
5.1693 10.5049 4.4734 Pm
3.9326 7.0774 6.7101 Pm
8.8749 5.2297 4.2954 S
5.8409 5.0526 6.5321 S
3.2610 8.4801 4.2954 S
6.2950 8.6571 6.5321 S
5.0310 5.1840 2.7568 I
7.1049 8.5257 2.7568 I
10.1388 8.6115 4.9935 I
8.0650 11.9532 4.9935 I
```

The 12 most intense peaks (10 to 90 degrees two-theta), in order of falling intensity:
31.17°, rel. 100
23.75°, rel. 92
23.05°, rel. 81
36.18°, rel. 74
27.99°, rel. 55
38.06°, rel. 54
19.54°, rel. 52
25.02°, rel. 48
32.27°, rel. 44
31.57°, rel. 43
39.01°, rel. 43
56.71°, rel. 41

(2)
Structure and calculated powder XRD pattern of Tb3Pr2Sm4 (a structure optimized by DFT (PBE); Cu Kα).
Lines closer than 0.1° are merged.

Structure:
```
Tb3Pr2Sm4
1.0
9.9857 -1.7780 0.0000
9.9857 1.7780 0.0000
-1.3874 0.0000 8.6560
Tb Pr Sm
3 2 4
Cartesian
0.0000 0.0000 0.0000 Tb
1.6156 0.0000 3.1290 Tb
16.9684 0.0000 5.5269 Tb
5.3190 0.0000 8.2939 Pr
13.2650 0.0000 0.3620 Pr
5.1051 0.0000 3.0423 Sm
8.5784 0.0000 2.7355 Sm
10.0056 0.0000 5.9205 Sm
13.4789 0.0000 5.6137 Sm
```

The 12 most intense peaks (10 to 90 degrees two-theta), in order of falling intensity:
30.59°, rel. 100
31.47°, rel. 80
30.99°, rel. 77
33.38°, rel. 68
29.63°, rel. 67
34.44°, rel. 52
36.70°, rel. 36
60.29°, rel. 35
51.70°, rel. 35
61.00°, rel. 30
51.40°, rel. 27
33.94°, rel. 26

(3)
Structure and calculated powder XRD pattern of Ce3Se4 (a structure optimized by DFT (PBE); Cu Kα).
Lines closer than 0.1° are merged.

Structure:
```
Ce3Se4
1.0
-4.4555 4.4555 4.4555
4.4555 -4.4555 4.4555
4.4555 4.4555 -4.4555
Ce Se
6 8
Cartesian
4.4555 -2.2278 3.3417 Ce
3.3417 4.4555 -2.2278 Ce
4.4555 2.2278 1.1139 Ce
2.2278 1.1139 4.4555 Ce
1.1139 4.4555 2.2278 Ce
-2.2278 3.3417 4.4555 Ce
2.9033 1.5522 -1.5522 Se
5.1311 -0.6756 0.6756 Se
1.5522 -1.5522 2.9033 Se
1.5522 1.5522 1.5522 Se
-1.5522 2.9033 1.5522 Se
0.6756 5.1311 -0.6756 Se
-0.6756 0.6756 5.1311 Se
3.7800 3.7800 3.7800 Se
```

The 12 most intense peaks (10 to 90 degrees two-theta), in order of falling intensity:
31.75°, rel. 100
37.77°, rel. 68
64.46°, rel. 30
24.47°, rel. 25
45.52°, rel. 24
78.95°, rel. 19
52.35°, rel. 17
47.88°, rel. 16
68.20°, rel. 14
50.15°, rel. 11
66.34°, rel. 10
73.65°, rel. 6

(4)
Structure and calculated powder XRD pattern of Na17Cd11Ag (a structure optimized by DFT (PBE); Cu Kα).
Lines closer than 0.1° are merged.

Structure:
```
Na17Cd11Ag
1.0
5.8029 -8.2599 0.0000
5.8029 8.2599 0.0000
-5.7594 0.0000 8.2806
Na Cd Ag
17 11 1
Cartesian
0.0000 0.0000 0.0000 Na
-1.5653 3.3831 5.6755 Na
3.7972 5.4048 0.0095 Na
-3.7258 0.0000 5.3903 Na
1.6561 2.5981 4.8685 Na
-0.4968 0.0000 5.9614 Na
4.2357 3.3685 2.5816 Na
2.0810 0.0000 2.8586 Na
-1.5653 -3.3831 5.6755 Na
0.6382 2.2805 8.2631 Na
1.6561 -2.5981 4.8685 Na
5.3529 0.0000 2.2730 Na
3.7972 -5.4048 0.0095 Na
0.6382 -2.2805 8.2631 Na
7.4797 2.5455 3.3350 Na
4.2357 -3.3685 2.5816 Na
7.4797 -2.5455 3.3350 Na
1.0649 2.9981 1.5155 Cd
1.0864 5.2698 6.7391 Cd
4.7708 6.7604 2.9683 Cd
-2.5713 1.4792 8.2712 Cd
1.0649 -2.9981 1.5155 Cd
-2.5713 -1.4792 8.2712 Cd
4.8110 1.5139 5.2561 Cd
2.6917 0.0000 6.8477 Cd
1.0864 -5.2698 6.7391 Cd
4.8110 -1.5139 5.2561 Cd
4.7708 -6.7604 2.9683 Cd
8.5382 0.0000 1.4425 Ag
```

The 12 most intense peaks (10 to 90 degrees two-theta), in order of falling intensity:
18.61°, rel. 100
36.15°, rel. 87
32.49°, rel. 72
10.72°, rel. 41
18.70°, rel. 35
36.00°, rel. 29
32.69°, rel. 27
39.27°, rel. 21
39.34°, rel. 15
57.98°, rel. 14
21.51°, rel. 11
46.59°, rel. 11

(5)
Structure and calculated powder XRD pattern of Pm2AsPRh6 (a structure optimized by DFT (PBE); Cu Kα).
Lines closer than 0.1° are merged.

Structure:
```
Pm2AsPRh6
1.0
5.8348 0.0000 0.0000
0.0000 8.6661 0.0000
0.0000 0.0000 7.3486
Pm As P Rh
4 2 2 12
Cartesian
1.4587 0.2003 1.6830 Pm
1.4587 4.1327 1.6830 Pm
4.3761 4.5334 5.6656 Pm
4.3761 8.4658 5.6656 Pm
1.4587 6.4996 5.7430 As
4.3761 2.1665 1.6056 As
1.4587 2.1665 5.3737 P
4.3761 6.4996 1.9749 P
0.0952 6.4996 0.3962 Rh
0.1054 6.4996 3.5794 Rh
1.4587 4.3414 4.6422 Rh
1.4587 8.6578 4.6422 Rh
2.8120 6.4996 3.5794 Rh
2.8222 6.4996 0.3962 Rh
3.0126 2.1665 6.9524 Rh
3.0228 2.1665 3.7692 Rh
4.3761 0.0083 2.7064 Rh
4.3761 4.3247 2.7064 Rh
5.7294 2.1665 3.7692 Rh
5.7396 2.1665 6.9524 Rh
```

The 12 most intense peaks (10 to 90 degrees two-theta), in order of falling intensity:
37.15°, rel. 100
39.44°, rel. 78
31.94°, rel. 75
41.69°, rel. 55
58.72°, rel. 50
45.28°, rel. 46
28.39°, rel. 31
35.54°, rel. 31
73.13°, rel. 24
28.71°, rel. 24
63.78°, rel. 23
34.66°, rel. 20

(6)
Structure and calculated powder XRD pattern of Zr2TiBe2Rh5 (a structure optimized by DFT (PBE); Cu Kα).
Lines closer than 0.1° are merged.

Structure:
```
Zr2TiBe2Rh5
1.0
9.4206 0.0000 0.0000
0.0000 9.4206 0.0000
0.0000 0.0000 3.2456
Zr Ti Be Rh
4 2 4 10
Cartesian
1.6430 3.0673 0.0000 Zr
3.0673 7.7776 0.0000 Zr
6.3533 1.6430 0.0000 Zr
7.7776 6.3533 0.0000 Zr
0.0000 0.0000 0.0000 Ti
4.7103 4.7103 0.0000 Ti
1.1440 5.8543 0.0000 Be
3.5663 1.1440 0.0000 Be
5.8543 8.2766 0.0000 Be
8.2766 3.5663 0.0000 Be
0.0000 4.7103 1.6228 Rh
0.6586 7.4328 1.6228 Rh
1.9878 0.6586 1.6228 Rh
2.7225 5.3689 1.6228 Rh
4.0517 2.7225 1.6228 Rh
4.7103 0.0000 1.6228 Rh
5.3689 6.6981 1.6228 Rh
6.6981 4.0517 1.6228 Rh
7.4328 8.7620 1.6228 Rh
8.7620 1.9878 1.6228 Rh
```

The 12 most intense peaks (10 to 90 degrees two-theta), in order of falling intensity:
41.13°, rel. 100
39.44°, rel. 83
34.90°, rel. 73
44.52°, rel. 38
42.93°, rel. 30
71.28°, rel. 28
38.74°, rel. 27
27.48°, rel. 23
34.32°, rel. 22
56.73°, rel. 22
77.44°, rel. 21
40.63°, rel. 20

(7)
Structure and calculated powder XRD pattern of Li6NbAs4 (a structure optimized by DFT (PBE); Cu Kα).
Lines closer than 0.1° are merged.

Structure:
```
Li6NbAs4
1.0
8.2513 0.0000 0.0000
0.0000 8.2513 0.0000
0.0000 0.0000 6.5560
Li Nb As
12 2 8
Cartesian
0.2599 4.3856 1.6390 Li
0.2599 7.9913 1.6390 Li
2.0628 2.0628 1.2760 Li
2.0628 2.0628 4.5540 Li
3.8657 4.3856 1.6390 Li
3.8657 7.9913 1.6390 Li
4.3856 0.2599 4.9170 Li
4.3856 3.8657 4.9170 Li
6.1885 6.1885 2.0020 Li
6.1885 6.1885 5.2800 Li
7.9913 0.2599 4.9170 Li
7.9913 3.8657 4.9170 Li
2.0628 6.1885 4.9170 Nb
6.1885 2.0628 1.6390 Nb
0.0026 2.0628 3.0013 As
8.2487 6.1885 3.5547 As
2.0628 0.0026 6.2793 As
2.0628 4.1231 6.2793 As
4.1231 2.0628 3.0013 As
4.1282 6.1885 3.5547 As
6.1885 8.2487 0.2767 As
6.1885 4.1282 0.2767 As
```

The 12 most intense peaks (10 to 90 degrees two-theta), in order of falling intensity:
25.51°, rel. 100
17.28°, rel. 50
41.43°, rel. 45
51.45°, rel. 28
43.89°, rel. 24
48.41°, rel. 17
15.19°, rel. 14
78.99°, rel. 13
30.65°, rel. 12
35.39°, rel. 10
47.06°, rel. 10
66.32°, rel. 8

(8)
Structure and calculated powder XRD pattern of LiNd2SiO5 (a structure optimized by DFT (PBE); Cu Kα).
Lines closer than 0.1° are merged.

Structure:
```
LiNd2SiO5
1.0
6.8360 0.0000 0.0000
0.0000 6.8360 0.0000
0.0000 0.0000 5.3873
Li Nd Si O
2 4 2 10
Cartesian
0.0000 0.0000 0.0000 Li
3.4180 3.4180 0.0000 Li
1.2294 2.1886 2.6937 Nd
2.1886 5.6066 2.6937 Nd
4.6474 1.2294 2.6937 Nd
5.6066 4.6474 2.6937 Nd
0.0000 3.4180 0.0000 Si
3.4180 0.0000 0.0000 Si
0.0000 0.0000 2.6937 O
0.8513 4.2693 1.2331 O
0.8513 4.2693 4.1543 O
2.5667 0.8513 1.2331 O
2.5667 0.8513 4.1543 O
3.4180 3.4180 2.6937 O
4.2693 5.9848 1.2331 O
4.2693 5.9848 4.1543 O
5.9848 2.5667 1.2331 O
5.9848 2.5667 4.1543 O
```

The 12 most intense peaks (10 to 90 degrees two-theta), in order of falling intensity:
16.45°, rel. 100
33.71°, rel. 88
44.85°, rel. 54
30.98°, rel. 51
29.21°, rel. 34
58.22°, rel. 28
18.35°, rel. 22
45.20°, rel. 21
33.26°, rel. 20
66.19°, rel. 19
26.07°, rel. 17
55.42°, rel. 16

(9)
Structure and calculated powder XRD pattern of Mn4SiMoC (a structure optimized by DFT (PBE); Cu Kα).
Lines closer than 0.1° are merged.

Structure:
```
Mn4SiMoC
1.0
5.0937 -4.0327 0.0000
5.0937 4.0327 0.0000
0.0000 0.0000 7.6335
Mn Si Mo C
16 4 4 4
Cartesian
3.5760 2.7147 1.4557 Mn
5.0937 3.6229 3.8168 Mn
3.8538 1.4208 3.8363 Mn
6.6115 2.7147 1.4557 Mn
3.8267 0.0258 1.9449 Mn
5.0937 0.9805 0.0546 Mn
3.8267 -0.0258 5.7616 Mn
6.3336 1.4208 3.8363 Mn
3.8538 -1.4208 0.0196 Mn
6.3607 0.0258 1.9449 Mn
5.0937 -0.9805 3.8713 Mn
6.3607 -0.0258 5.7616 Mn
3.5760 -2.7147 5.2725 Mn
6.3336 -1.4208 0.0196 Mn
5.0937 -3.6229 0.0000 Mn
6.6115 -2.7147 5.2725 Mn
2.5300 0.6684 0.0494 Si
2.5300 -0.6684 3.8662 Si
7.6575 0.6684 0.0494 Si
7.6575 -0.6684 3.8662 Si
3.5813 2.7285 6.2408 Mo
6.6061 2.7285 6.2408 Mo
3.5813 -2.7285 2.4241 Mo
6.6061 -2.7285 2.4241 Mo
5.0937 1.5852 2.2382 C
5.0937 1.4686 5.4254 C
5.0937 -1.4686 1.6087 C
5.0937 -1.5852 6.0549 C
```

The 12 most intense peaks (10 to 90 degrees two-theta), in order of falling intensity:
42.03°, rel. 100
43.68°, rel. 52
45.97°, rel. 51
42.91°, rel. 39
49.39°, rel. 32
42.68°, rel. 31
38.12°, rel. 26
46.59°, rel. 21
35.24°, rel. 20
76.49°, rel. 16
47.65°, rel. 16
75.13°, rel. 16